Entry 1:
For VF4, DFT lattice parameters and positions (GGA+U) gives the simulated powder X-ray diffraction pattern in this record (CuKα).
No peak broadening, texture or thermal motion is included.

Atomic structure:
Cell lengths 10.960, 7.507, 7.670 Å; angles 90.00, 90.00, 90.00 degrees
Sites, in units of the cell vectors:
V 0.250 0.000 0.125
V 0.250 0.000 0.625
V 0.250 0.500 0.125
V 0.250 0.500 0.625
V 0.750 0.000 0.375
V 0.750 0.000 0.875
V 0.750 0.500 0.375
V 0.750 0.500 0.875
F 0.093 0.053 0.128
F 0.093 0.447 0.128
F 0.094 0.054 0.622
F 0.094 0.446 0.622
F 0.210 0.750 0.177
F 0.211 0.750 0.572
F 0.239 0.553 0.875
F 0.239 0.947 0.875
F 0.261 0.053 0.375
F 0.261 0.447 0.375
F 0.289 0.250 0.072
F 0.290 0.250 0.677
F 0.406 0.554 0.122
F 0.406 0.946 0.122
F 0.407 0.553 0.628
F 0.407 0.947 0.628
F 0.593 0.053 0.372
F 0.593 0.447 0.372
F 0.594 0.054 0.878
F 0.594 0.446 0.878
F 0.710 0.750 0.323
F 0.711 0.750 0.928
F 0.739 0.553 0.625
F 0.739 0.947 0.625
F 0.761 0.053 0.125
F 0.761 0.447 0.125
F 0.789 0.250 0.428
F 0.790 0.250 0.823
F 0.906 0.554 0.378
F 0.906 0.946 0.378
F 0.907 0.553 0.872
F 0.907 0.947 0.872

Main lines, sorted by position (2θ = 10–80°):
2θ/deg  I_rel
16.17  100
23.70  45
24.59  62
28.83  11
34.42  14
47.41  12
49.92  9
53.68  11
55.13  10
55.98  9

Entry 2:
For VF4, DFT lattice parameters and positions (GGA+U) gives the simulated powder X-ray diffraction pattern in this record (CuKα).
No peak broadening, texture or thermal motion is included.

Atomic structure:
Cell lengths 4.673, 4.673, 8.304 Å; angles 102.43, 102.43, 64.01 degrees
Sites, in units of the cell vectors:
V 0.010 0.990 0.750
V 0.990 0.010 0.250
F 0.034 0.605 0.210
F 0.179 0.726 0.575
F 0.274 0.821 0.925
F 0.395 0.966 0.290
F 0.605 0.034 0.710
F 0.726 0.179 0.075
F 0.821 0.274 0.425
F 0.966 0.395 0.790

Main lines, sorted by position (2θ = 10–80°):
2θ/deg  I_rel
21.36  100
22.13  49
23.21  38
27.80  12
28.69  40
33.07  18
37.35  31
38.70  35
47.47  14
52.24  28